Starting from a structure optimized by DFT (PBE+U), the powder diffraction line list of CeMoBrO4 was simulated for CuKα.
No peak broadening, texture or thermal motion is included.

Largest 10 diffraction maxima, by angle, 2θ from 10° to 90°:
17.2 deg, rel. 35, hkl 2 0 0; 22.5 deg, rel. 48, hkl 2 1 0; 27.9 deg, rel. 38, hkl 0 1 2; 29.2 deg, rel. 100, hkl 0 2 0; 29.3 deg, rel. 29, hkl 1 1 2; 29.8 deg, rel. 37, hkl 3 1 0; 32.9 deg, rel. 50, hkl 2 1 -2; 33.0 deg, rel. 50, hkl 2 1 2; 46.5 deg, rel. 37, hkl 5 1 0; 54.1 deg, rel. 26, hkl 2 3 2

Structural model:
```
28
Lattice="10.307 0.000 0.000 0.000 6.132 0.000 -0.042 0.000 7.494" Properties=species:S:1:pos:R:3 pbc="T T T"
Ce 2.407 1.259 0.924
Ce 2.386 1.806 4.671
Ce 7.879 4.325 2.824
Ce 7.858 4.872 6.571
Mo 3.627 4.592 2.800
Mo 3.606 4.605 6.548
Mo 6.659 1.526 0.947
Mo 6.639 1.540 4.694
Br -0.026 1.503 6.553
Br -0.005 1.563 2.806
Br 10.270 4.569 4.688
Br 10.291 4.628 0.941
O 2.804 0.215 6.194
O 2.825 2.851 2.446
O 2.831 0.216 3.147
O 2.810 2.850 6.894
O 3.208 4.004 4.672
O 3.229 5.194 0.925
O 4.908 1.487 0.944
O 4.887 1.579 4.691
O 5.378 4.553 2.803
O 5.357 4.645 6.550
O 7.036 0.938 6.569
O 7.057 2.128 2.822
O 7.455 3.282 0.600
O 7.434 5.916 4.348
O 7.440 3.281 5.048
O 7.461 5.917 1.301
```